(1)
The following is a calculated XRD peak list of Hg2P3Br. It was derived from a GGA-PBE-relaxed structure, using Cu Ka.
Kinematic intensities with the Lorentz-polarization factor, no thermal factor.

Main lines, in order of falling intensity (10° ≤ 2θ ≤ 80°):
2θ/deg	Rel. int.
25.1	100
31.5	96
24.9	90
31.9	51
40.2	46
39.4	36
21.8	29
42.8	28

Structural model:
```
Hg2P3Br
1.0
8.1503 0.0000 0.0000
0.0000 9.1065 0.0000
0.0000 0.0000 7.9439
Hg P Br
8 12 4
Direct
0.2172 0.1733 0.1063 Hg
0.2172 0.8267 0.6063 Hg
0.2828 0.3267 0.6063 Hg
0.2828 0.6733 0.1063 Hg
0.7172 0.3267 0.8937 Hg
0.7172 0.6733 0.3937 Hg
0.7828 0.1733 0.3937 Hg
0.7828 0.8267 0.8937 Hg
0.0000 0.3222 0.2500 P
0.0000 0.6778 0.7500 P
0.1122 0.4848 0.4226 P
0.1122 0.5152 0.9226 P
0.3878 0.0152 0.9226 P
0.3878 0.9848 0.4226 P
0.5000 0.1778 0.7500 P
0.5000 0.8222 0.2500 P
0.6122 0.0152 0.5774 P
0.6122 0.9848 0.0774 P
0.8878 0.4848 0.0774 P
0.8878 0.5152 0.5774 P
0.0000 0.1127 0.7500 Br
0.0000 0.8873 0.2500 Br
0.5000 0.3873 0.2500 Br
0.5000 0.6127 0.7500 Br
```


(2)
The following is a calculated XRD peak list of Na3CoRe. It was derived from a GGA-PBE-relaxed structure, using Cu Ka.
Kinematic intensities with the Lorentz-polarization factor, no thermal factor.

Main lines, in order of falling intensity (10° ≤ 2θ ≤ 80°):
2θ/deg	Rel. int.
24.2	100
42.5	45
34.4	42
29.7	31
49.5	30
67.2	23
55.8	20
17.0	20

Structural model:
```
Na3CoRe
1.0
5.2101 0.0000 0.0000
0.0000 5.2101 0.0000
0.0000 0.0000 5.2101
Na Co Re
3 1 1
Direct
0.0000 0.0000 0.5000 Na
0.0000 0.5000 0.0000 Na
0.5000 0.0000 0.0000 Na
0.0000 0.0000 0.0000 Co
0.5000 0.5000 0.5000 Re
```


(3)
The following is a calculated XRD peak list of NaErF5. It was derived from a GGA-PBE-relaxed structure, using Cu Ka.
Kinematic intensities with the Lorentz-polarization factor, no thermal factor.

Main lines, in order of falling intensity (10° ≤ 2θ ≤ 80°):
2θ/deg	Rel. int.
19.1	100
22.1	93
28.7	64
12.2	64
31.6	61
49.1	38
52.3	33
37.7	32

Structural model:
```
NaErF5
1.0
2.0968 -7.2433 0.0000
2.0968 7.2433 0.0000
-0.1892 0.0000 6.0647
Na Er F
2 2 10
Direct
0.1712 0.8288 0.7500 Na
0.8288 0.1712 0.2500 Na
0.4240 0.5760 0.7500 Er
0.5760 0.4240 0.2500 Er
0.1197 0.8803 0.2500 F
0.2344 0.3289 0.4077 F
0.2441 0.6434 0.0006 F
0.3289 0.2344 0.9077 F
0.3566 0.7559 0.4994 F
0.6434 0.2441 0.5006 F
0.6711 0.7656 0.0923 F
0.7559 0.3566 0.9994 F
0.7656 0.6711 0.5923 F
0.8803 0.1197 0.7500 F
```


(4)
The following is a calculated XRD peak list of SmScSiAu. It was derived from a GGA-PBE-relaxed structure, using Cu Ka.
Kinematic intensities with the Lorentz-polarization factor, no thermal factor.

Main lines, in order of falling intensity (10° ≤ 2θ ≤ 80°):
2θ/deg	Rel. int.
36.1	100
21.9	51
65.0	36
42.6	29
52.0	18
57.1	12
76.7	11
69.5	9

Structural model:
```
SmScSiAu
1.0
0.0000 3.5159 3.5159
3.5159 0.0000 3.5159
3.5159 3.5159 0.0000
Sm Sc Si Au
1 1 1 1
Direct
0.0000 0.0000 0.0000 Sm
0.5000 0.5000 0.5000 Sc
0.2500 0.2500 0.2500 Si
0.7500 0.7500 0.7500 Au
```


(5)
The following is a calculated XRD peak list of Sm8CoRh3Cl4. It was derived from a GGA-PBE-relaxed structure, using Cu Ka.
Kinematic intensities with the Lorentz-polarization factor, no thermal factor.

Main lines, in order of falling intensity (10° ≤ 2θ ≤ 80°):
2θ/deg	Rel. int.
30.3	100
11.8	38
45.3	36
41.3	30
26.9	21
38.2	20
55.4	17
74.2	14

Structural model:
```
Sm8CoRh3Cl4
1.0
4.0068 2.3133 7.5016
-4.0068 2.3133 7.5016
0.0000 -4.6267 7.5016
Sm Co Rh Cl
8 1 3 4
Direct
0.2353 0.2353 0.2353 Sm
0.2440 0.7288 0.7288 Sm
0.2712 0.2712 0.7560 Sm
0.2712 0.7560 0.2712 Sm
0.7288 0.2440 0.7288 Sm
0.7288 0.7288 0.2440 Sm
0.7560 0.2712 0.2712 Sm
0.7647 0.7647 0.7647 Sm
0.5000 0.5000 0.5000 Co
0.0000 0.0000 0.5000 Rh
0.0000 0.5000 0.0000 Rh
0.5000 0.0000 0.0000 Rh
0.0000 0.0000 0.0000 Cl
0.0000 0.5000 0.5000 Cl
0.5000 0.0000 0.5000 Cl
0.5000 0.5000 0.0000 Cl
```


(6)
The following is a calculated XRD peak list of AgSb2Cl. It was derived from a GGA-PBE-relaxed structure, using Cu Ka.
Kinematic intensities with the Lorentz-polarization factor, no thermal factor.

Main lines, in order of falling intensity (10° ≤ 2θ ≤ 80°):
2θ/deg	Rel. int.
11.3	100
31.2	91
32.7	55
46.7	43
36.8	43
42.5	34
45.0	31
25.0	24

Structural model:
```
AgSb2Cl
1.0
4.2493 -1.6232 0.0000
4.2493 1.6232 0.0000
-0.8170 0.0000 7.8356
Ag Sb Cl
1 2 1
Direct
0.0000 0.0000 0.0000 Ag
0.3112 0.3112 0.1990 Sb
0.6888 0.6888 0.8010 Sb
0.5000 0.5000 0.5000 Cl
```


(7)
The following is a calculated XRD peak list of LaSbTe3. It was derived from a GGA-PBE-relaxed structure, using Cu Ka.
Kinematic intensities with the Lorentz-polarization factor, no thermal factor.

Main lines, in order of falling intensity (10° ≤ 2θ ≤ 80°):
2θ/deg	Rel. int.
33.4	100
35.7	96
29.6	92
22.6	90
40.4	82
30.6	65
29.9	57
28.3	54

Structural model:
```
LaSbTe3
1.0
9.8451 0.0000 0.0000
0.0000 6.7278 0.0000
-1.6639 0.0000 10.8581
La Sb Te
4 4 12
Direct
0.1287 0.2288 0.1613 La
0.1287 0.2712 0.6613 La
0.8713 0.7288 0.3387 La
0.8713 0.7712 0.8387 La
0.4161 0.7389 0.0733 Sb
0.4161 0.7611 0.5733 Sb
0.5839 0.2389 0.4267 Sb
0.5839 0.2611 0.9267 Sb
0.0629 0.7290 0.1158 Te
0.0629 0.7710 0.6158 Te
0.3058 0.1170 0.9344 Te
0.3058 0.3830 0.4344 Te
0.3771 0.5515 0.7932 Te
0.3771 0.9485 0.2932 Te
0.6229 0.0515 0.7068 Te
0.6229 0.4485 0.2068 Te
0.6942 0.6170 0.5656 Te
0.6942 0.8830 0.0656 Te
0.9371 0.2290 0.3842 Te
0.9371 0.2710 0.8842 Te
```


(8)
The following is a calculated XRD peak list of Th3GaOs. It was derived from a GGA-PBE-relaxed structure, using Cu Ka.
Kinematic intensities with the Lorentz-polarization factor, no thermal factor.

Main lines, in order of falling intensity (10° ≤ 2θ ≤ 80°):
2θ/deg	Rel. int.
33.6	100
48.6	78
29.9	63
34.1	59
28.4	54
16.9	42
12.8	39
58.7	34

Structural model:
```
Th3GaOs
1.0
3.9236 -7.2595 0.0000
3.9236 7.2595 0.0000
0.0000 0.0000 5.2606
Th Ga Os
6 2 2
Direct
0.0000 0.5000 0.5000 Th
0.1311 0.8689 0.0000 Th
0.3103 0.3103 0.5000 Th
0.5000 0.0000 0.5000 Th
0.6897 0.6897 0.5000 Th
0.8689 0.1311 0.0000 Th
0.3614 0.6386 0.0000 Ga
0.6386 0.3614 0.0000 Ga
0.1050 0.8950 0.5000 Os
0.8950 0.1050 0.5000 Os
```


(9)
The following is a calculated XRD peak list of HoEr5Sc. It was derived from a GGA-PBE-relaxed structure, using Cu Ka.
Kinematic intensities with the Lorentz-polarization factor, no thermal factor.

Main lines, in order of falling intensity (10° ≤ 2θ ≤ 80°):
2θ/deg	Rel. int.
29.8	100
32.3	100
32.7	78
32.1	69
33.0	41
51.7	27
58.1	25
16.3	23

Structural model:
```
HoEr5Sc
1.0
-3.2124 3.2512 5.0886
3.2124 -3.2512 5.0886
3.2124 3.2512 -5.0886
Ho Er Sc
1 5 1
Direct
0.0000 0.0000 0.0000 Ho
0.1146 0.6146 0.5000 Er
0.1284 0.3555 0.7730 Er
0.5825 0.3555 0.2270 Er
0.6553 0.4253 0.7700 Er
0.6553 0.8854 0.2300 Er
0.4065 0.9065 0.5000 Sc
```